[1]
Simulated PXRD pattern
Compound: Rb4Na
Radiation: CuKα
Structure: a cell relaxed with PBE

Atomic structure:
Unit cell a=10.454 b=10.454 c=10.454 alpha=104.15 beta=104.15 gamma=120.75
Fractional positions:
Rb 0.224 0.275 0.551
Rb 0.224 0.672 0.949
Rb 0.275 0.224 0.051
Rb 0.328 0.776 0.551
Rb 0.672 0.224 0.449
Rb 0.725 0.776 0.949
Rb 0.776 0.328 0.051
Rb 0.776 0.725 0.449
Na 0.125 0.875 0.250
Na 0.875 0.125 0.750

The 10 most intense peaks (10° ≤ 2θ ≤ 90°), in order of rising 2θ:
d (Å)  I_rel
4.544  49
4.027  100
3.958  38
3.370  27
3.328  16
3.213  20
2.512  20
2.494  23
2.477  19
2.325  16



[2]
Simulated PXRD pattern
Compound: Rb3Na2
Radiation: CuKα
Structure: a cell relaxed with PBE

Atomic structure:
Unit cell a=11.054 b=11.054 c=11.054 alpha=49.50 beta=49.50 gamma=49.50
Fractional positions:
Rb 0.189 0.750 0.311
Rb 0.250 0.689 0.811
Rb 0.311 0.189 0.750
Rb 0.689 0.811 0.250
Rb 0.750 0.311 0.189
Rb 0.811 0.250 0.689
Na 0.192 0.192 0.192
Na 0.308 0.308 0.308
Na 0.692 0.692 0.692
Na 0.808 0.808 0.808

The 10 most intense peaks (10° ≤ 2θ ≤ 90°), in order of rising 2θ:
d (Å)  I_rel
4.839  50
4.175  62
3.863  100
3.508  60
3.344  37
3.013  20
2.688  31
2.217  28
2.076  23
1.959  19



[3]
Simulated PXRD pattern
Compound: Rb13Na2
Radiation: CuKα
Structure: a cell relaxed with PBE

Atomic structure:
Unit cell a=9.412 b=11.546 c=12.776 alpha=66.19 beta=87.27 gamma=81.17
Fractional positions:
Rb 0.000 0.000 0.000
Rb 0.051 0.510 0.684
Rb 0.216 0.988 0.608
Rb 0.259 0.171 0.199
Rb 0.262 0.622 0.976
Rb 0.447 0.191 0.832
Rb 0.453 0.377 0.405
Rb 0.547 0.623 0.595
Rb 0.553 0.809 0.168
Rb 0.738 0.378 0.024
Rb 0.741 0.829 0.801
Rb 0.784 0.012 0.392
Rb 0.949 0.490 0.316
Na 0.167 0.773 0.356
Na 0.833 0.227 0.644

The 10 most intense peaks (10° ≤ 2θ ≤ 90°), in order of rising 2θ:
d (Å)  I_rel
4.293  49
4.098  100
4.030  87
3.982  59
3.930  44
3.905  59
3.713  85
3.651  47
3.618  33
2.339  32